Diffraction record for Sm2TmPa2Ru5. The PXRD pattern is calculated, not measured: it uses the GGA-PBE geometry in Alexandria and λ = 1.5418 Å (Cu Kα).
Neutral-atom scattering factors, no anomalous dispersion.

Crystal structure
a = 10.746 Å, b = 10.746 Å, c = 3.629 Å
α = 90.00°, β = 90.00°, γ = 90.00°
Fractional positions:
Sm  0.173  0.327  0.000
Sm  0.327  0.827  0.000
Sm  0.673  0.173  0.000
Sm  0.827  0.673  0.000
Tm  0.000  0.000  0.000
Tm  0.500  0.500  0.000
Pa  0.137  0.637  0.000
Pa  0.363  0.137  0.000
Pa  0.637  0.863  0.000
Pa  0.863  0.363  0.000
Ru  0.000  0.500  0.500
Ru  0.050  0.791  0.500
Ru  0.209  0.050  0.500
Ru  0.291  0.550  0.500
Ru  0.450  0.291  0.500
Ru  0.500  0.000  0.500
Ru  0.550  0.709  0.500
Ru  0.709  0.450  0.500
Ru  0.791  0.950  0.500
Ru  0.950  0.209  0.500

Main lines, by angle (10 to 80 degrees two-theta):
| hkl | d/Å | 2θ/deg | I/Imax |
| --- | --- | --- | --- |
| 2 1 0 | 4.806 | 18.5 | 19 |
| 3 1 0 | 3.398 | 26.2 | 23 |
| 2 2 1 | 2.624 | 34.2 | 21 |
| 3 3 0 | 2.533 | 35.4 | 23 |
| 3 1 1 | 2.480 | 36.2 | 100 |
| 3 2 1 | 2.303 | 39.1 | 27 |
| 4 0 1 | 2.159 | 41.8 | 24 |
| 0 0 2 | 1.814 | 50.3 | 17 |